Simulated powder XRD pattern of Li2B5H5 for Cu Ka, from the GGA-PBE geometry in Alexandria.
Kinematic intensities with the Lorentz-polarization factor, no thermal factor.

```
data_Li2B5H5
_space_group_name_H-M_alt 'R 3 m'
_space_group_IT_number 160
_space_group_name_Hall 'R 3 -2"'
_cell_length_a 5.5280
_cell_length_b 5.5280
_cell_length_c 16.6661
_cell_angle_alpha 90.00
_cell_angle_beta 90.00
_cell_angle_gamma 120.00
loop_
_atom_site_label
_atom_site_type_symbol
_atom_site_fract_x
_atom_site_fract_y
_atom_site_fract_z
Li1 Li 0.0000 0.0000 0.0000
Li2 Li 0.0000 0.0000 0.4734
B1 B 0.0000 0.0000 0.6645
B2 B 0.0000 0.0000 0.8226
B3 B 0.1066 0.2133 0.7438
H1 H 0.0000 0.0000 0.5926
H2 H 0.0000 0.0000 0.8934
H3 H 0.2125 0.1063 0.0942
```

Most intense lines, 2θ from 15° to 90°, low angle first:
hkl	2θ (°)	intensity
0 0 3	16.0	58
1 0 1	19.3	100
0 1 2	21.4	17
1 1 0	32.4	21
1 1 6	46.3	6
3 0 6	67.7	7

Simulated powder XRD pattern of Li2B11H11 for Cu Ka, from the GGA-PBE geometry in Alexandria.
Kinematic intensities with the Lorentz-polarization factor, no thermal factor.

```
data_Li2B11H11
_space_group_name_H-M_alt 'F m m 2'
_space_group_IT_number 42
_space_group_name_Hall 'F 2 -2'
_cell_length_a 8.0734
_cell_length_b 11.3363
_cell_length_c 10.5962
_cell_angle_alpha 90.00
_cell_angle_beta 90.00
_cell_angle_gamma 90.00
loop_
_atom_site_label
_atom_site_type_symbol
_atom_site_fract_x
_atom_site_fract_y
_atom_site_fract_z
Li1 Li 0.2500 0.2500 0.0000
B1 B 0.0000 0.0000 0.0031
B2 B 0.0000 0.1301 0.7892
B3 B 0.0000 0.1459 0.9552
B4 B 0.1119 0.0000 0.7511
B5 B 0.1638 0.0801 0.8902
H1 H 0.0000 0.0000 0.1163
H2 H 0.0000 0.2159 0.7230
H3 H 0.0000 0.2325 0.0221
H4 H 0.1952 0.1146 0.4028
H5 H 0.2020 0.0000 0.6614
```

Most intense lines, 2θ from 15° to 90°, low angle first:
hkl	2θ (°)	intensity
0 2 0	15.6	9
1 1 1	15.9	100
0 0 2	16.7	23
0 2 2	23.0	4
0 4 2	35.9	3
3 3 1	42.1	2

Simulated powder XRD pattern of Li3BH6 for Cu Ka, from the GGA-PBE geometry in Alexandria.
Kinematic intensities with the Lorentz-polarization factor, no thermal factor.

```
data_Li3BH6
_space_group_name_H-M_alt 'P 1'
_space_group_IT_number 1
_space_group_name_Hall 'P 1'
_cell_length_a 5.0676
_cell_length_b 5.3088
_cell_length_c 6.7927
_cell_angle_alpha 77.06
_cell_angle_beta 81.88
_cell_angle_gamma 87.70
loop_
_atom_site_label
_atom_site_type_symbol
_atom_site_fract_x
_atom_site_fract_y
_atom_site_fract_z
Li1 Li 0.0000 0.0000 0.0000
Li2 Li 0.0738 0.6331 0.3195
Li3 Li 0.1856 0.5226 0.9040
Li4 Li 0.3101 0.0236 0.5415
Li5 Li 0.4752 0.9360 0.0628
Li6 Li 0.6897 0.3763 0.2106
B1 B 0.1668 0.2164 0.2055
B2 B 0.4141 0.4654 0.5883
H1 H 0.0430 0.2425 0.3729
H2 H 0.1905 0.3753 0.6549
H3 H 0.2619 0.8732 0.8416
H4 H 0.3121 0.4188 0.1541
H5 H 0.3983 0.6646 0.4567
H6 H 0.5230 0.5119 0.7258
H7 H 0.5556 0.3067 0.5146
H8 H 0.7532 0.1708 0.8267
H9 H 0.7638 0.0354 0.8029
H10 H 0.7781 0.7335 0.1300
H11 H 0.8280 0.7698 0.5608
H12 H 0.8903 0.8837 0.4799
```

Most intense lines, 2θ from 15° to 90°, low angle first:
hkl	2θ (°)	intensity
0 1 0	17.1	34
1 0 0	17.7	100
1 0 -1	23.7	36
0 1 -1	24.1	34
2 1 1	39.1	52
0 2 2	39.3	34

Simulated powder XRD pattern of RbLiMgB4H16 for Cu Ka, from the GGA-PBE geometry in Alexandria.
Kinematic intensities with the Lorentz-polarization factor, no thermal factor.

```
data_RbLiMgB4H16
_space_group_name_H-M_alt 'A e a 2'
_space_group_IT_number 41
_space_group_name_Hall 'A 2 -2ab'
_cell_length_a 8.1389
_cell_length_b 9.4483
_cell_length_c 12.3415
_cell_angle_alpha 90.00
_cell_angle_beta 90.00
_cell_angle_gamma 90.00
loop_
_atom_site_label
_atom_site_type_symbol
_atom_site_fract_x
_atom_site_fract_y
_atom_site_fract_z
Rb1 Rb 0.0000 0.0000 0.0000
Li1 Li 0.0000 0.0000 0.6441
Mg1 Mg 0.0000 0.0000 0.3575
B1 B 0.1007 0.1674 0.4947
B2 B 0.2449 0.4981 0.7467
H1 H 0.0142 0.1969 0.4154
H2 H 0.0181 0.1884 0.5758
H3 H 0.1313 0.0826 0.2317
H4 H 0.1362 0.0682 0.7741
H5 H 0.1476 0.0433 0.4920
H6 H 0.2162 0.4104 0.8186
H7 H 0.2218 0.2425 0.4923
H8 H 0.2351 0.4295 0.1641
```

Most intense lines, 2θ from 15° to 90°, low angle first:
hkl	2θ (°)	intensity
1 1 1	16.1	89
0 2 0	18.8	86
1 1 3	26.0	100
2 0 2	26.2	55
2 2 2	32.5	51
1 3 3	37.6	54

Simulated powder XRD pattern of RbLiMnB4H16 for Cu Ka, from the GGA-PBE geometry in Alexandria.
Kinematic intensities with the Lorentz-polarization factor, no thermal factor.

```
data_RbLiMnB4H16
_space_group_name_H-M_alt 'A e a 2'
_space_group_IT_number 41
_space_group_name_Hall 'A 2 -2ab'
_cell_length_a 8.1226
_cell_length_b 9.4357
_cell_length_c 12.2736
_cell_angle_alpha 90.00
_cell_angle_beta 90.00
_cell_angle_gamma 90.00
loop_
_atom_site_label
_atom_site_type_symbol
_atom_site_fract_x
_atom_site_fract_y
_atom_site_fract_z
Rb1 Rb 0.0000 0.0000 0.0000
Li1 Li 0.0000 0.0000 0.6428
Mn1 Mn 0.0000 0.0000 0.3578
B1 B 0.1012 0.1673 0.4945
B2 B 0.2434 0.4959 0.7461
H1 H 0.0094 0.1936 0.4153
H2 H 0.0202 0.1891 0.5768
H3 H 0.1312 0.0833 0.2314
H4 H 0.1359 0.0630 0.7753
H5 H 0.1481 0.0424 0.4923
H6 H 0.2101 0.4068 0.8175
H7 H 0.2207 0.2437 0.4885
H8 H 0.2363 0.4280 0.1626
```

Most intense lines, 2θ from 15° to 90°, low angle first:
hkl	2θ (°)	intensity
1 1 1	16.1	51
0 2 0	18.8	81
2 0 0	21.9	37
1 1 3	26.2	100
2 2 0	29.0	37
1 3 3	37.7	49